For Sm3YS4, a GGA-PBE-relaxed structure gives the calculated powder diffractogram in this record (Cu Kα, 1.54184 Å).
Intensities are scaled so that the largest is 100.

Largest 12 diffraction maxima, low angle first, 10 to 90 degrees two-theta:
27.1 deg, I 18, hkl 2 0 -2
27.2 deg, I 18, hkl 4 0 0
27.7 deg, I 34, hkl 1 1 1
31.7 deg, I 100, hkl 3 1 -1
44.8 deg, I 12, hkl 6 0 -2
45.4 deg, I 24, hkl 1 1 -3
45.6 deg, I 24, hkl 5 1 1
46.2 deg, I 11, hkl 0 2 0
54.4 deg, I 11, hkl 4 2 0
57.1 deg, I 12, hkl 2 2 2
66.3 deg, I 11, hkl 6 2 -2
75.3 deg, I 10, hkl 4 2 -4

Atomic structure:
```
data_Sm3YS4
_space_group_name_H-M_alt 'C 1 2/m 1'
_space_group_IT_number 12
_space_group_name_Hall '-C 2y'
_cell_length_a 13.363
_cell_length_b 3.933
_cell_length_c 6.954
_cell_angle_alpha 90.00
_cell_angle_beta 100.84
_cell_angle_gamma 90.00
loop_
_atom_site_label
_atom_site_type_symbol
_atom_site_fract_x
_atom_site_fract_y
_atom_site_fract_z
_atom_site_occupancy
Sm1 Sm 0.000 0.000 0.000 1
Sm2 Sm 0.248 0.500 0.246 1
Y1 Y 0.000 0.500 0.500 1
S1 S 0.122 0.000 0.380 1
S2 S 0.123 0.500 0.868 1
```

***

For Sm2ZrS5, a GGA-PBE-relaxed structure gives the calculated powder diffractogram in this record (Cu Kα, 1.54184 Å).
Intensities are scaled so that the largest is 100.

Largest 12 diffraction maxima, low angle first, 10 to 90 degrees two-theta:
24.2 deg, I 54, hkl 0 0 2
25.8 deg, I 100, hkl 3 0 1
26.7 deg, I 52, hkl 1 2 1
27.2 deg, I 51, hkl 2 2 0
33.3 deg, I 27, hkl 0 2 2
34.2 deg, I 26, hkl 1 2 2
34.5 deg, I 67, hkl 3 2 1
36.7 deg, I 73, hkl 2 2 2
43.6 deg, I 26, hkl 3 0 3
46.0 deg, I 31, hkl 0 4 0
46.7 deg, I 47, hkl 5 2 1
53.5 deg, I 33, hkl 3 4 1

Atomic structure:
```
data_Sm2ZrS5
_space_group_name_H-M_alt 'P n m a'
_space_group_IT_number 62
_space_group_name_Hall '-P 2ac 2n'
_cell_length_a 11.721
_cell_length_b 7.894
_cell_length_c 7.362
_cell_angle_alpha 90.00
_cell_angle_beta 90.00
_cell_angle_gamma 90.00
loop_
_atom_site_label
_atom_site_type_symbol
_atom_site_fract_x
_atom_site_fract_y
_atom_site_fract_z
_atom_site_occupancy
Sm1 Sm 0.178 0.002 0.026 1
Zr1 Zr 0.007 0.750 0.577 1
S1 S 0.004 0.750 0.946 1
S2 S 0.092 0.036 0.661 1
S3 S 0.182 0.750 0.334 1
S4 S 0.207 0.250 0.313 1
```

***

For Sn2S3, a GGA-PBE-relaxed structure gives the calculated powder diffractogram in this record (Cu Kα, 1.54184 Å).
Intensities are scaled so that the largest is 100.

Largest 12 diffraction maxima, low angle first, 10 to 90 degrees two-theta:
15.6 deg, I 87, hkl 1 0 2
20.8 deg, I 86, hkl 1 0 3
28.2 deg, I 55, hkl 1 1 2
30.4 deg, I 65, hkl 2 1 0
31.0 deg, I 100, hkl 2 1 1
31.4 deg, I 44, hkl 2 0 4
32.9 deg, I 38, hkl 2 1 2
36.7 deg, I 30, hkl 2 0 5
39.2 deg, I 64, hkl 0 1 5
45.4 deg, I 67, hkl 3 1 4
47.6 deg, I 29, hkl 4 1 2
47.9 deg, I 33, hkl 0 2 0

Atomic structure:
```
data_Sn2S3
_space_group_name_H-M_alt 'P n m a'
_space_group_IT_number 62
_space_group_name_Hall '-P 2ac 2n'
_cell_length_a 9.272
_cell_length_b 3.802
_cell_length_c 14.430
_cell_angle_alpha 90.00
_cell_angle_beta 90.00
_cell_angle_gamma 90.00
loop_
_atom_site_label
_atom_site_type_symbol
_atom_site_fract_x
_atom_site_fract_y
_atom_site_fract_z
_atom_site_occupancy
Sn1 Sn 0.031 0.250 0.163 1
Sn2 Sn 0.160 0.250 0.550 1
S1 S 0.018 0.250 0.395 1
S2 S 0.169 0.250 0.995 1
S3 S 0.220 0.750 0.208 1
```